Entry 1:
Diffraction record for Ca3SnHg7. The PXRD pattern is simulated, not measured: it uses a DFT-relaxed cell (PBE, Alexandria) and copper Kα.

Structure:
```
data_Ca3SnHg7
_chemical_formula_sum 'Ca6 Sn2 Hg14'
_cell_length_a 12.605
_cell_length_b 12.605
_cell_length_c 12.107
_cell_angle_alpha 90.00
_cell_angle_beta 90.00
_cell_angle_gamma 161.70
_symmetry_space_group_name_H-M 'P 1'
_symmetry_Int_Tables_number 1
_symmetry_space_group_name_Hall 'P 1'
loop_
_atom_site_label
_atom_site_fract_x
_atom_site_fract_y
_atom_site_fract_z
_atom_site_occupancy
Ca1 0.083 0.917 0.530 1
Ca2 0.083 0.917 0.970 1
Ca3 0.211 0.789 0.250 1
Ca4 0.789 0.211 0.750 1
Ca5 0.917 0.083 0.030 1
Ca6 0.917 0.083 0.470 1
Sn1 0.079 0.921 0.250 1
Sn2 0.921 0.079 0.750 1
Hg1 0.204 0.796 0.624 1
Hg2 0.204 0.796 0.876 1
Hg3 0.322 0.678 0.555 1
Hg4 0.322 0.678 0.945 1
Hg5 0.385 0.615 0.250 1
Hg6 0.494 0.506 0.626 1
Hg7 0.494 0.506 0.874 1
Hg8 0.506 0.494 0.126 1
Hg9 0.506 0.494 0.374 1
Hg10 0.615 0.385 0.750 1
Hg11 0.678 0.322 0.055 1
Hg12 0.678 0.322 0.445 1
Hg13 0.796 0.204 0.124 1
Hg14 0.796 0.204 0.376 1
```

Top 10 peaks for 10 to 90 degrees two-theta, sorted by position:
- 2θ = 22.46°, I 28
- 2θ = 25.75°, I 41
- 2θ = 31.66°, I 100
- 2θ = 32.29°, I 34
- 2θ = 32.91°, I 43
- 2θ = 33.69°, I 66
- 2θ = 34.52°, I 32
- 2θ = 36.09°, I 28
- 2θ = 38.83°, I 61
- 2θ = 45.23°, I 36

Entry 2:
Diffraction record for Na3Si3SnO9F. The PXRD pattern is simulated, not measured: it uses a DFT-relaxed cell (PBE, Alexandria) and copper Kα.

Structure:
```
data_Na3Si3SnO9F
_chemical_formula_sum 'Na6 Si6 Sn2 O18 F2'
_cell_length_a 8.896
_cell_length_b 8.896
_cell_length_c 6.605
_cell_angle_alpha 102.98
_cell_angle_beta 102.98
_cell_angle_gamma 105.95
_symmetry_space_group_name_H-M 'P 1'
_symmetry_Int_Tables_number 1
_symmetry_space_group_name_Hall 'P 1'
loop_
_atom_site_label
_atom_site_fract_x
_atom_site_fract_y
_atom_site_fract_z
_atom_site_occupancy
Na1 0.016 0.016 0.264 1
Na2 0.107 0.377 0.077 1
Na3 0.377 0.107 0.077 1
Na4 0.623 0.893 0.923 1
Na5 0.893 0.623 0.923 1
Na6 0.984 0.984 0.736 1
Si1 0.186 0.407 0.601 1
Si2 0.287 0.713 0.000 1
Si3 0.407 0.186 0.601 1
Si4 0.593 0.814 0.399 1
Si5 0.713 0.287 0.000 1
Si6 0.814 0.593 0.399 1
Sn1 0.226 0.774 0.500 1
Sn2 0.774 0.226 0.500 1
O1 0.018 0.250 0.536 1
O2 0.173 0.723 0.160 1
O3 0.177 0.524 0.444 1
O4 0.227 0.516 0.859 1
O5 0.250 0.018 0.536 1
O6 0.277 0.827 0.840 1
O7 0.337 0.337 0.589 1
O8 0.476 0.823 0.556 1
O9 0.484 0.773 0.141 1
O10 0.516 0.227 0.859 1
O11 0.524 0.177 0.444 1
O12 0.663 0.663 0.411 1
O13 0.723 0.173 0.160 1
O14 0.750 0.982 0.464 1
O15 0.773 0.484 0.141 1
O16 0.823 0.476 0.556 1
O17 0.827 0.277 0.840 1
O18 0.982 0.750 0.464 1
F1 0.148 0.148 0.063 1
F2 0.852 0.852 0.937 1
```

Top 10 peaks for 10 to 90 degrees two-theta, sorted by position:
- 2θ = 12.46°, I 100
- 2θ = 14.45°, I 58
- 2θ = 21.83°, I 75
- 2θ = 22.21°, I 43
- 2θ = 23.39°, I 24
- 2θ = 29.14°, I 42
- 2θ = 30.69°, I 36
- 2θ = 30.95°, I 81
- 2θ = 31.77°, I 35
- 2θ = 40.85°, I 19

Entry 3:
Diffraction record for NdHo2Tl3. The PXRD pattern is simulated, not measured: it uses a DFT-relaxed cell (PBE, Alexandria) and copper Kα.

Structure:
```
data_NdHo2Tl3
_chemical_formula_sum 'Nd1 Ho2 Tl3'
_cell_length_a 3.781
_cell_length_b 3.781
_cell_length_c 11.709
_cell_angle_alpha 90.00
_cell_angle_beta 90.00
_cell_angle_gamma 90.00
_symmetry_space_group_name_H-M 'P 1'
_symmetry_Int_Tables_number 1
_symmetry_space_group_name_Hall 'P 1'
loop_
_atom_site_label
_atom_site_fract_x
_atom_site_fract_y
_atom_site_fract_z
_atom_site_occupancy
Nd1 0.000 0.000 0.000 1
Ho1 0.000 0.000 0.338 1
Ho2 0.000 0.000 0.662 1
Tl1 0.500 0.500 0.178 1
Tl2 0.500 0.500 0.500 1
Tl3 0.500 0.500 0.822 1
```

Top 10 peaks for 10 to 90 degrees two-theta, sorted by position:
- 2θ = 32.98°, I 100
- 2θ = 33.52°, I 49
- 2θ = 46.54°, I 9
- 2θ = 48.13°, I 18
- 2θ = 58.56°, I 19
- 2θ = 59.58°, I 37
- 2θ = 69.18°, I 11
- 2θ = 77.61°, I 7
- 2θ = 79.99°, I 8
- 2θ = 80.29°, I 8

Entry 4:
Diffraction record for Pa5NbC6. The PXRD pattern is simulated, not measured: it uses a DFT-relaxed cell (PBE, Alexandria) and copper Kα.

Structure:
```
data_Pa5NbC6
_chemical_formula_sum 'Pa5 Nb1 C6'
_cell_length_a 6.109
_cell_length_b 6.109
_cell_length_c 6.106
_cell_angle_alpha 99.57
_cell_angle_beta 99.57
_cell_angle_gamma 119.90
_symmetry_space_group_name_H-M 'P 1'
_symmetry_Int_Tables_number 1
_symmetry_space_group_name_Hall 'P 1'
loop_
_atom_site_label
_atom_site_fract_x
_atom_site_fract_y
_atom_site_fract_z
_atom_site_occupancy
Pa1 0.000 0.000 0.000 1
Pa2 0.166 0.834 0.500 1
Pa3 0.333 0.667 0.000 1
Pa4 0.667 0.333 0.000 1
Pa5 0.834 0.166 0.500 1
Nb1 0.500 0.500 0.500 1
C1 0.106 0.423 0.264 1
C2 0.265 0.265 0.743 1
C3 0.423 0.106 0.264 1
C4 0.577 0.894 0.736 1
C5 0.735 0.735 0.257 1
C6 0.894 0.577 0.736 1
```

Top 10 peaks for 10 to 90 degrees two-theta, sorted by position:
- 2θ = 30.99°, I 34
- 2θ = 31.06°, I 100
- 2θ = 36.00°, I 84
- 2θ = 51.78°, I 30
- 2θ = 51.87°, I 30
- 2θ = 61.62°, I 36
- 2θ = 61.69°, I 25
- 2θ = 64.76°, I 15
- 2θ = 87.34°, I 14
- 2θ = 87.49°, I 14

What did the fourth record say?
Diffraction record for Pa5NbC6. The PXRD pattern is simulated, not measured: it uses a DFT-relaxed cell (PBE, Alexandria) and copper Kα.

Structure:
```
data_Pa5NbC6
_chemical_formula_sum 'Pa5 Nb1 C6'
_cell_length_a 6.109
_cell_length_b 6.109
_cell_length_c 6.106
_cell_angle_alpha 99.57
_cell_angle_beta 99.57
_cell_angle_gamma 119.90
_symmetry_space_group_name_H-M 'P 1'
_symmetry_Int_Tables_number 1
_symmetry_space_group_name_Hall 'P 1'
loop_
_atom_site_label
_atom_site_fract_x
_atom_site_fract_y
_atom_site_fract_z
_atom_site_occupancy
Pa1 0.000 0.000 0.000 1
Pa2 0.166 0.834 0.500 1
Pa3 0.333 0.667 0.000 1
Pa4 0.667 0.333 0.000 1
Pa5 0.834 0.166 0.500 1
Nb1 0.500 0.500 0.500 1
C1 0.106 0.423 0.264 1
C2 0.265 0.265 0.743 1
C3 0.423 0.106 0.264 1
C4 0.577 0.894 0.736 1
C5 0.735 0.735 0.257 1
C6 0.894 0.577 0.736 1
```

Top 10 peaks for 10 to 90 degrees two-theta, sorted by position:
- 2θ = 30.99°, I 34
- 2θ = 31.06°, I 100
- 2θ = 36.00°, I 84
- 2θ = 51.78°, I 30
- 2θ = 51.87°, I 30
- 2θ = 61.62°, I 36
- 2θ = 61.69°, I 25
- 2θ = 64.76°, I 15
- 2θ = 87.34°, I 14
- 2θ = 87.49°, I 14